Theoretical XRD peak list
Compound: CsNpHg2Se4
Radiation: Cu Kα, 1.54184 Å
Structure: a DFT-relaxed cell (PBE, Alexandria)
Lines closer than 0.1° are merged.

Cell and atoms:
```
CsNpHg2Se4
1.0
-3.5120 4.3667 4.8467
3.5120 -4.3667 4.8467
3.5120 4.3667 -4.8467
Cs Np Hg Se
1 1 2 4
Cartesian
0.0000 0.0000 0.0000 Cs
0.0000 0.0000 4.8467 Np
3.5120 0.0000 3.1932 Hg
0.0000 4.3667 1.6535 Hg
1.9501 2.7770 -1.7155 Se
1.5619 -1.5897 6.5622 Se
1.5619 1.5897 3.1312 Se
1.9501 5.9565 1.7155 Se
```

Most intense lines, 5° ≤ 2θ ≤ 70°, in order of falling intensity:
Position (°2θ)  intensity
24.5  100.0
13.6  61.8
32.7  60.0
38.3  32.3
20.3  31.2
36.9  27.7
40.7  25.0
44.2  24.1